Na6Hf3ZnSi2P4O24: simulated X-ray powder pattern (a wavelength of 1.5418 Å), based on DFT lattice parameters and positions (PBE).
Neutral-atom scattering factors, no anomalous dispersion.

Peak list (12 most intense, 15° ≤ 2θ ≤ 90°, low angle first)
(hkl)  two_theta  d [Å]  I/Imax
1 -1 1  19.4  4.572  54.2
1 -2 0  19.6  4.536  100.0
1 1 0  22.9  3.884  16.8
0 2 -2  27.7  3.224  23.1
-2 2 2  27.9  3.198  13.7
1 1 1  30.9  2.893  35.9
-1 2 2  31.1  2.876  22.7
-2 1 3  31.2  2.866  15.5
1 2 0  34.1  2.630  15.2
3 0 -2  34.3  2.618  53.3
4 -2 0  46.7  1.944  11.5
1 -5 1  53.5  1.714  17.8

Structural model:
```
data_Na6Hf3ZnSi2P4O24
_chemical_formula_sum 'Na6 Hf3 Zn1 Si2 P4 O24'
_cell_length_a 9.059
_cell_length_b 9.069
_cell_length_c 9.088
_cell_angle_alpha 90.41
_cell_angle_beta 119.35
_cell_angle_gamma 119.89
_space_group_name_H-M_alt 'P 1'
_space_group_IT_number 1
loop_
_space_group_symop_operation_xyz
'x,y,z'
loop_
_atom_site_label
_atom_site_fract_x
_atom_site_fract_y
_atom_site_fract_z
Na1 0.000 0.000 0.000
Na2 0.019 0.511 0.524
Na3 0.115 0.236 0.735
Na4 0.515 0.896 0.756
Na5 0.539 0.111 0.294
Na6 0.887 0.778 0.334
Hf1 0.308 0.162 0.460
Hf2 0.311 0.662 0.967
Hf3 0.727 0.366 0.083
Zn1 0.728 0.859 0.580
Si1 0.221 0.964 0.776
Si2 0.818 0.062 0.276
P1 0.233 0.766 0.290
P2 0.515 0.468 0.272
P3 0.522 0.560 0.780
P4 0.811 0.266 0.767
O1 0.002 0.424 0.777
O2 0.008 0.074 0.281
O3 0.030 0.613 0.267
O4 0.036 0.955 0.771
O5 0.218 0.780 0.782
O6 0.225 0.005 0.599
O7 0.226 0.936 0.282
O8 0.239 0.721 0.128
O9 0.346 0.556 0.780
O10 0.372 0.285 0.282
O11 0.380 0.493 0.099
O12 0.403 0.392 0.616
O13 0.421 0.804 0.465
O14 0.446 0.135 0.950
O15 0.600 0.883 0.098
O16 0.611 0.221 0.591
O17 0.645 0.528 0.951
O18 0.649 0.632 0.436
O19 0.659 0.739 0.769
O20 0.672 0.448 0.259
O21 0.809 0.324 0.926
O22 0.818 0.033 0.451
O23 0.824 0.104 0.778
O24 0.833 0.249 0.261
```